Starting from DFT lattice parameters and positions (PBE), the X-ray diffraction stick pattern of Mg3Pt was simulated for Cu Kα.
Neutral-atom scattering factors, no anomalous dispersion.

Peak list (10 most intense, 10° ≤ 2θ ≤ 90°, low angle first)
d 4.174, rel. 40; d 4.005, rel. 28; d 3.611, rel. 100; d 2.313, rel. 53; d 2.285, rel. 63; d 2.023, rel. 35; d 1.947, rel. 19; d 1.625, rel. 22; d 1.549, rel. 17; d 1.330, rel. 22

Cell and atoms:
```
Mg3Pt
1.0
4.625 0.000 0.000
-2.313 4.005 0.000
0.000 0.000 8.348
Mg Pt
6 2
direct
0.000 0.000 0.250
0.000 0.000 0.750
0.333 0.667 0.077
0.333 0.667 0.423
0.667 0.333 0.577
0.667 0.333 0.923
0.333 0.667 0.750
0.667 0.333 0.250
```

---

Starting from DFT lattice parameters and positions (PBE), the X-ray diffraction stick pattern of MgPt was simulated for Cu Kα.
Neutral-atom scattering factors, no anomalous dispersion.

Peak list (10 most intense, 10° ≤ 2θ ≤ 90°, low angle first)
d 3.601, rel. 58; d 2.940, rel. 32; d 2.277, rel. 100; d 2.079, rel. 42; d 1.610, rel. 15; d 1.535, rel. 11; d 1.470, rel. 10; d 1.412, rel. 17; d 1.361, rel. 29; d 1.111, rel. 16

Cell and atoms:
```
MgPt
1.0
5.093 0.000 0.000
0.000 5.093 0.000
0.000 0.000 5.093
Mg Pt
4 4
direct
0.156 0.344 0.656
0.344 0.656 0.156
0.656 0.156 0.344
0.844 0.844 0.844
0.147 0.147 0.147
0.353 0.853 0.647
0.647 0.353 0.853
0.853 0.647 0.353
```

---

Starting from DFT lattice parameters and positions (PBE), the X-ray diffraction stick pattern of MgSbPt was simulated for Cu Kα.
Neutral-atom scattering factors, no anomalous dispersion.

Peak list (10 most intense, 10° ≤ 2θ ≤ 90°, low angle first)
d 3.670, rel. 99; d 3.178, rel. 2; d 2.247, rel. 100; d 1.916, rel. 50; d 1.589, rel. 17; d 1.458, rel. 21; d 1.421, rel. 1; d 1.297, rel. 34; d 1.223, rel. 16; d 1.124, rel. 11

Cell and atoms:
```
MgSbPt
1.0
6.356 0.000 0.000
0.000 6.356 0.000
0.000 0.000 6.356
Mg Sb Pt
4 4 4
direct
0.000 0.000 0.000
0.000 0.500 0.500
0.500 0.000 0.500
0.500 0.500 0.000
0.000 0.000 0.500
0.000 0.500 0.000
0.500 0.000 0.000
0.500 0.500 0.500
0.250 0.250 0.250
0.250 0.750 0.750
0.750 0.250 0.750
0.750 0.750 0.250
```

---

Starting from DFT lattice parameters and positions (PBE), the X-ray diffraction stick pattern of Mg5Si16Pt10 was simulated for Cu Kα.
Neutral-atom scattering factors, no anomalous dispersion.

Peak list (10 most intense, 10° ≤ 2θ ≤ 90°, low angle first)
d 7.329, rel. 23; d 6.347, rel. 25; d 4.488, rel. 21; d 3.827, rel. 26; d 3.664, rel. 85; d 2.912, rel. 36; d 2.443, rel. 28; d 2.244, rel. 100; d 1.914, rel. 68; d 1.296, rel. 29

Cell and atoms:
```
Mg5Si16Pt10
1.0
0.000 6.347 6.347
6.347 0.000 6.347
6.347 6.347 0.000
Mg Si Pt
5 16 10
direct
0.000 0.000 0.000
0.033 0.656 0.656
0.656 0.033 0.656
0.656 0.656 0.033
0.656 0.656 0.656
0.044 0.044 0.323
0.044 0.044 0.588
0.044 0.323 0.044
0.044 0.323 0.588
0.044 0.588 0.044
0.044 0.588 0.323
0.323 0.044 0.044
0.323 0.044 0.588
0.323 0.588 0.044
0.427 0.427 0.427
0.427 0.427 0.718
0.427 0.718 0.427
0.588 0.044 0.044
0.588 0.044 0.323
0.588 0.323 0.044
0.718 0.427 0.427
0.268 0.268 0.732
0.268 0.732 0.268
0.268 0.732 0.732
0.380 0.873 0.873
0.732 0.268 0.268
0.732 0.268 0.732
0.732 0.732 0.268
0.873 0.380 0.873
0.873 0.873 0.380
0.873 0.873 0.873
```

---

Starting from DFT lattice parameters and positions (PBE), the X-ray diffraction stick pattern of SmMgPt was simulated for Cu Kα.
Neutral-atom scattering factors, no anomalous dispersion.

Peak list (10 most intense, 10° ≤ 2θ ≤ 90°, low angle first)
d 3.750, rel. 55; d 3.484, rel. 30; d 2.776, rel. 66; d 2.552, rel. 100; d 2.165, rel. 40; d 2.110, rel. 39; d 2.064, rel. 23; d 1.651, rel. 17; d 1.494, rel. 25; d 1.402, rel. 27

Cell and atoms:
```
SmMgPt
1.0
7.501 0.000 0.000
-3.750 6.496 0.000
0.000 0.000 4.127
Sm Mg Pt
3 3 3
direct
0.000 0.410 0.000
0.410 0.000 0.000
0.590 0.590 0.000
0.000 0.757 0.500
0.243 0.243 0.500
0.757 0.000 0.500
0.000 0.000 0.000
0.333 0.667 0.500
0.667 0.333 0.500
```

---

Starting from DFT lattice parameters and positions (PBE), the X-ray diffraction stick pattern of Sm4MgPt was simulated for Cu Kα.
Neutral-atom scattering factors, no anomalous dispersion.

Peak list (10 most intense, 10° ≤ 2θ ≤ 90°, low angle first)
d 8.149, rel. 36; d 3.238, rel. 27; d 2.881, rel. 41; d 2.716, rel. 100; d 2.495, rel. 38; d 1.663, rel. 41; d 1.630, rel. 15; d 1.365, rel. 16; d 1.164, rel. 14; d 1.145, rel. 16

Cell and atoms:
```
Sm4MgPt
1.0
0.000 7.057 7.057
7.057 0.000 7.057
7.057 7.057 0.000
Sm Mg Pt
16 4 4
direct
0.061 0.061 0.439
0.061 0.439 0.061
0.061 0.439 0.439
0.184 0.184 0.816
0.184 0.816 0.184
0.184 0.816 0.816
0.206 0.598 0.598
0.439 0.061 0.061
0.439 0.061 0.439
0.439 0.439 0.061
0.598 0.206 0.598
0.598 0.598 0.206
0.598 0.598 0.598
0.816 0.184 0.184
0.816 0.184 0.816
0.816 0.816 0.184
0.510 0.830 0.830
0.830 0.510 0.830
0.830 0.830 0.510
0.830 0.830 0.830
0.392 0.392 0.392
0.392 0.392 0.823
0.392 0.823 0.392
0.823 0.392 0.392
```

---

Starting from DFT lattice parameters and positions (PBE), the X-ray diffraction stick pattern of Mg4Sn6Pt5 was simulated for Cu Kα.
Neutral-atom scattering factors, no anomalous dispersion.

Peak list (10 most intense, 10° ≤ 2θ ≤ 90°, low angle first)
d 3.708, rel. 33; d 3.690, rel. 100; d 2.267, rel. 82; d 2.258, rel. 82; d 1.934, rel. 18; d 1.928, rel. 50; d 1.600, rel. 28; d 1.466, rel. 14; d 1.305, rel. 44; d 1.231, rel. 16

Cell and atoms:
```
Mg4Sn6Pt5
1.0
2.258 1.304 18.539
-2.258 1.304 18.539
0.000 -2.608 18.539
Mg Sn Pt
4 6 5
direct
0.000 0.000 0.000
0.199 0.199 0.199
0.399 0.399 0.399
0.799 0.799 0.799
0.099 0.099 0.099
0.301 0.301 0.301
0.499 0.499 0.499
0.599 0.599 0.599
0.699 0.699 0.699
0.897 0.897 0.897
0.049 0.049 0.049
0.250 0.250 0.250
0.449 0.449 0.449
0.649 0.649 0.649
0.849 0.849 0.849
```

---

Starting from DFT lattice parameters and positions (PBE), the X-ray diffraction stick pattern of PuMg was simulated for Cu Kα.
Neutral-atom scattering factors, no anomalous dispersion.

Peak list (10 most intense, 10° ≤ 2θ ≤ 90°, low angle first)
d 6.139, rel. 87; d 4.058, rel. 100; d 3.053, rel. 42; d 2.733, rel. 40; d 2.704, rel. 48; d 2.669, rel. 89; d 2.439, rel. 86; d 2.024, rel. 27; d 2.009, rel. 52; d 1.922, rel. 29

Cell and atoms:
```
PuMg
1.0
5.408 0.000 0.000
0.000 3.053 0.000
0.000 0.000 6.139
Pu Mg
2 2
direct
0.250 0.000 0.140
0.750 0.000 0.860
0.250 0.500 0.640
0.750 0.500 0.360
```

---

Starting from DFT lattice parameters and positions (PBE), the X-ray diffraction stick pattern of PuMg3 was simulated for Cu Kα.
Neutral-atom scattering factors, no anomalous dispersion.

Peak list (10 most intense, 10° ≤ 2θ ≤ 90°, low angle first)
d 4.156, rel. 100; d 3.600, rel. 53; d 2.545, rel. 98; d 2.171, rel. 56; d 1.800, rel. 18; d 1.652, rel. 25; d 1.610, rel. 23; d 1.470, rel. 37; d 1.385, rel. 19; d 1.217, rel. 19

Cell and atoms:
```
PuMg3
1.0
7.199 0.000 0.000
0.000 7.199 0.000
0.000 0.000 7.199
Pu Mg
4 12
direct
0.000 0.000 0.000
0.000 0.500 0.500
0.500 0.000 0.500
0.500 0.500 0.000
0.000 0.000 0.500
0.000 0.500 0.000
0.250 0.250 0.250
0.250 0.250 0.750
0.250 0.750 0.250
0.250 0.750 0.750
0.500 0.000 0.000
0.500 0.500 0.500
0.750 0.250 0.250
0.750 0.250 0.750
0.750 0.750 0.250
0.750 0.750 0.750
```

---

Starting from DFT lattice parameters and positions (PBE), the X-ray diffraction stick pattern of Pu3Mg was simulated for Cu Kα.
Neutral-atom scattering factors, no anomalous dispersion.

Peak list (10 most intense, 10° ≤ 2θ ≤ 90°, low angle first)
d 3.949, rel. 26; d 3.355, rel. 11; d 2.906, rel. 23; d 2.691, rel. 26; d 2.557, rel. 100; d 1.974, rel. 16; d 1.678, rel. 19; d 1.527, rel. 21; d 1.424, rel. 23; d 1.403, rel. 16

Cell and atoms:
```
Pu3Mg
1.0
6.710 0.000 0.000
-3.355 5.811 0.000
0.000 0.000 5.383
Pu Mg
6 2
direct
0.168 0.336 0.250
0.168 0.832 0.250
0.336 0.168 0.750
0.664 0.832 0.250
0.832 0.168 0.750
0.832 0.664 0.750
0.333 0.667 0.750
0.667 0.333 0.250
```

---

Starting from DFT lattice parameters and positions (PBE), the X-ray diffraction stick pattern of Rb3Mg was simulated for Cu Kα.
Neutral-atom scattering factors, no anomalous dispersion.

Peak list (10 most intense, 10° ≤ 2θ ≤ 90°, low angle first)
d 5.288, rel. 18; d 3.995, rel. 24; d 3.526, rel. 24; d 3.476, rel. 100; d 2.644, rel. 16; d 2.307, rel. 20; d 2.026, rel. 21; d 1.930, rel. 23; d 1.922, rel. 17; d 1.477, rel. 13

Cell and atoms:
```
Rb3Mg
1.0
9.226 0.000 0.000
-4.613 7.990 0.000
0.000 0.000 7.053
Rb Mg
6 2
direct
0.177 0.354 0.250
0.177 0.823 0.250
0.354 0.177 0.750
0.646 0.823 0.250
0.823 0.177 0.750
0.823 0.646 0.750
0.333 0.667 0.750
0.667 0.333 0.250
```

---

Starting from DFT lattice parameters and positions (PBE), the X-ray diffraction stick pattern of Rb3Mg was simulated for Cu Kα.
Neutral-atom scattering factors, no anomalous dispersion.

Peak list (10 most intense, 10° ≤ 2θ ≤ 90°, low angle first)
d 5.723, rel. 12; d 3.673, rel. 100; d 3.227, rel. 36; d 3.094, rel. 16; d 2.282, rel. 13; d 2.233, rel. 25; d 1.938, rel. 32; d 1.879, rel. 16; d 1.836, rel. 14; d 1.451, rel. 13

Cell and atoms:
```
Rb3Mg
1.0
6.455 0.000 0.000
0.000 6.455 0.000
0.000 0.000 12.375
Rb Mg
6 2
direct
0.000 0.000 0.000
0.000 0.500 0.250
0.000 0.500 0.750
0.500 0.000 0.250
0.500 0.000 0.750
0.500 0.500 0.500
0.000 0.000 0.500
0.500 0.500 0.000
```

---

Starting from DFT lattice parameters and positions (PBE), the X-ray diffraction stick pattern of Rb2Mg was simulated for Cu Kα.
Neutral-atom scattering factors, no anomalous dispersion.

Peak list (10 most intense, 10° ≤ 2θ ≤ 90°, low angle first)
d 4.467, rel. 89; d 4.053, rel. 31; d 3.647, rel. 100; d 2.999, rel. 33; d 2.809, rel. 19; d 2.413, rel. 21; d 2.231, rel. 25; d 2.050, rel. 22; d 1.761, rel. 16; d 1.745, rel. 18

Cell and atoms:
```
Rb2Mg
1.0
17.838 0.000 0.000
0.000 8.106 0.000
0.000 0.000 5.618
Rb Mg
8 4
direct
0.138 0.230 0.250
0.138 0.770 0.750
0.362 0.270 0.750
0.362 0.730 0.250
0.638 0.270 0.750
0.638 0.730 0.250
0.862 0.230 0.250
0.862 0.770 0.750
0.000 0.409 0.750
0.000 0.591 0.250
0.500 0.091 0.250
0.500 0.909 0.750
```

---

Starting from DFT lattice parameters and positions (PBE), the X-ray diffraction stick pattern of Rb2Mg was simulated for Cu Kα.
Neutral-atom scattering factors, no anomalous dispersion.

Peak list (10 most intense, 10° ≤ 2θ ≤ 90°, low angle first)
d 5.003, rel. 10; d 3.795, rel. 100; d 3.581, rel. 14; d 3.164, rel. 24; d 2.912, rel. 18; d 2.298, rel. 24; d 2.106, rel. 19; d 1.970, rel. 18; d 1.798, rel. 12; d 1.702, rel. 9

Cell and atoms:
```
Rb2Mg
1.0
10.005 0.000 0.000
0.000 10.005 0.000
0.000 0.000 7.163
Rb Mg
8 4
direct
0.166 0.334 0.000
0.166 0.666 0.500
0.334 0.166 0.500
0.334 0.834 0.000
0.666 0.166 0.000
0.666 0.834 0.500
0.834 0.334 0.500
0.834 0.666 0.000
0.000 0.000 0.250
0.000 0.000 0.750
0.500 0.500 0.250
0.500 0.500 0.750
```